Fe5O7F3: calculated PXRD pattern (Cu Kα X-rays), based on the GGA+U geometry in Alexandria.
Intensities are scaled so that the largest is 100.

Structure:
```
data_Fe5O7F3
_chemical_formula_sum 'Fe10 O14 F6'
_space_group_name_H-M_alt 'P 1'
_space_group_IT_number 1
_space_group_name_Hall 'P 1'
_cell_length_a 15.1680
_cell_length_b 4.6411
_cell_length_c 4.6427
_cell_angle_alpha 90.00
_cell_angle_beta 90.00
_cell_angle_gamma 90.00
loop_
_atom_site_label
_atom_site_type_symbol
_atom_site_fract_x
_atom_site_fract_y
_atom_site_fract_z
_atom_site_occupancy
Fe1 Fe 0.0000 0.2321 0.0000 1
Fe2 Fe 0.1010 0.7565 0.5210 1
Fe3 Fe 0.1926 0.2847 0.0418 1
Fe4 Fe 0.3074 0.7153 0.5418 1
Fe5 Fe 0.3990 0.2435 0.0210 1
Fe6 Fe 0.5000 0.7679 0.5000 1
Fe7 Fe 0.6010 0.2435 0.0210 1
Fe8 Fe 0.6926 0.7153 0.5418 1
Fe9 Fe 0.8074 0.2847 0.0418 1
Fe10 Fe 0.8990 0.7565 0.5210 1
O1 O 0.0000 0.9362 0.7021 1
O2 O 0.0969 0.4470 0.8219 1
O3 O 0.0986 0.0582 0.2158 1
O4 O 0.2012 0.5677 0.3483 1
O5 O 0.2988 0.4323 0.8483 1
O6 O 0.4014 0.9418 0.7158 1
O7 O 0.4031 0.5530 0.3219 1
O8 O 0.5000 0.0638 0.2021 1
O9 O 0.5969 0.5530 0.3219 1
O10 O 0.5986 0.9418 0.7158 1
O11 O 0.7012 0.4323 0.8483 1
O12 O 0.7988 0.5677 0.3483 1
O13 O 0.9014 0.0582 0.2158 1
O14 O 0.9031 0.4470 0.8219 1
F1 F 0.0000 0.5520 0.3146 1
F2 F 0.2032 0.9490 0.7364 1
F3 F 0.2968 0.0510 0.2364 1
F4 F 0.5000 0.4480 0.8146 1
F5 F 0.7032 0.0510 0.2364 1
F6 F 0.7968 0.9490 0.7364 1
```

Top 8 peaks for 2θ from 10° to 80°, by intensity:
27.2 deg, d 3.282, I = 100
53.5 deg, d 1.713, I = 57
35.3 deg, d 2.539, I = 53
68.0 deg, d 1.378, I = 30
56.0 deg, d 1.641, I = 16
40.5 deg, d 2.228, I = 16
38.8 deg, d 2.321, I = 9
61.1 deg, d 1.517, I = 9